Calculated powder XRD pattern
Compound: Rb2Na12Au7
Radiation: Cu Kα, 1.54184 Å
Structure: a crystal structure in Alexandria, relaxed with GGA-PBE
Peak positions follow from Bragg's law for the DFT cell and can differ from measured ones.

Cell and atoms:
```
data_Rb2Na12Au7
_chemical_formula_sum 'Rb2 Na12 Au7'
_cell_length_a 12.1614
_cell_length_b 12.1614
_cell_length_c 4.7075
_cell_angle_alpha 90.00
_cell_angle_beta 90.00
_cell_angle_gamma 120.00
_symmetry_space_group_name_H-M 'P -6'
_symmetry_Int_Tables_number 174
loop_
_symmetry_equiv_pos_as_xyz
'x,y,z'
'-x+y,-x,-z'
'-y,x-y,z'
'x,y,-z'
'-x+y,-x,z'
'-y,x-y,-z'
loop_
_atom_site_label
_atom_site_fract_x
_atom_site_fract_y
_atom_site_fract_z
Rb1 0.0000 0.0000 0.0000
Rb2 0.3333 0.6667 0.5000
Na1 0.0478 0.2877 0.5000
Na2 0.1060 0.7198 0.0000
Na3 0.3892 0.1804 0.0000
Na4 0.5428 0.4246 0.5000
Au1 0.0651 0.4561 0.0000
Au2 0.2535 0.2142 0.5000
Au3 0.6667 0.3333 0.0000
```

Top 6 peaks for 2θ from 10° to 80°, most intense first:
index  Position (°2θ)  intensity
2 1 0  22.33  100.0
2 0 1  25.38  61.9
1 4 0  39.20  53.6
1 2 1  29.38  48.7
1 1 1  23.91  44.4
1 3 1  36.19  41.0